For NaVMoO6, a crystal structure in Alexandria, relaxed with GGA+U gives the computed XRD peak list in this record (Cu Kα (λ = 1.5418 Å)).

```
NaVMoO6
1.0
5.124 0.000 0.000
-2.562 4.438 0.000
0.000 0.000 5.241
Na V Mo O
1 1 1 6
direct
0.000 0.000 0.000 Na
0.333 0.667 0.571 V
0.667 0.333 0.452 Mo
0.002 0.384 0.716 O
0.007 0.630 0.303 O
0.370 0.377 0.303 O
0.382 0.998 0.716 O
0.616 0.618 0.716 O
0.623 0.993 0.303 O
```

Main lines, low angle first (2θ from 10° to 90°):
5.241 Å, I 77, (0 0 1)
4.438 Å, I 44, (1 0 0)
3.387 Å, I 100, (1 0 1)
2.562 Å, I 28, (1 1 0)
2.302 Å, I 41, (2 -1 1)
2.256 Å, I 22, (1 0 2)
2.043 Å, I 20, (0 2 1)
1.832 Å, I 38, (2 -1 2)
1.598 Å, I 21, (3 -1 1)
1.479 Å, I 16, (3 0 0)